Simulated powder diffraction line list
Compound: BaNaNdWO6
Radiation: Cu Kα (weighted mean of Kα1 and Kα2)
Structure: a structure optimized by DFT (PBE+U)
Lines closer than 0.1° are merged.

Atomic structure:
```
BaNaNdWO6
1.0
0.0000 4.2889 4.2889
4.2889 0.0000 4.2889
4.2889 4.2889 0.0000
Ba Na Nd W O
1 1 1 1 6
Direct
0.0000 0.0000 0.0000
0.5000 0.5000 0.5000
0.2500 0.2500 0.2500
0.7500 0.7500 0.7500
0.5220 0.5220 0.9780
0.5220 0.9780 0.5220
0.5220 0.9780 0.9780
0.9780 0.5220 0.5220
0.9780 0.5220 0.9780
0.9780 0.9780 0.5220
```

Top 12 peaks for 15 to 90 degrees two-theta, by angle:
17.91 deg, I = 15
20.71 deg, I = 25
29.45 deg, I = 100
34.68 deg, I = 8
42.14 deg, I = 31
47.40 deg, I = 11
52.25 deg, I = 41
61.12 deg, I = 19
65.26 deg, I = 5
69.28 deg, I = 19
77.02 deg, I = 6
84.53 deg, I = 22